1.
Computed powder diffractogram of SmIn2Cl5 for Cu Kα, from DFT lattice parameters and positions (PBE).
Lines closer than 0.1° are merged.

Structural model:
Cell: 13.0662 8.7299 8.2049 Å, 90.00 90.00 90.00°
Space group Pnma (No. 62)
Symmetry-distinct sites (fractional):
Sm 0.0039 0.2500 0.0739 (multiplicity 4)
In 0.1725 0.0056 0.5494 (multiplicity 8)
Cl 0.0085 0.2500 0.4127 (multiplicity 4)
Cl 0.0742 0.5429 0.1608 (multiplicity 8)
Cl 0.1771 0.2500 0.8839 (multiplicity 4)
Cl 0.1996 0.7500 0.8410 (multiplicity 4)

Main lines, by angle (5° ≤ 2θ ≤ 70°):
2θ 21.7, 4.102 Å, I 46, (0 0 2)
2θ 23.1, 3.847 Å, I 100, (3 0 1)
2θ 24.1, 3.696 Å, I 83, (1 2 1)
2θ 24.5, 3.629 Å, I 54, (2 2 0)
2θ 30.7, 2.914 Å, I 52, (1 2 2)
2θ 33.0, 2.718 Å, I 57, (2 2 2)
2θ 34.3, 2.614 Å, I 47, (4 2 0)
2θ 41.8, 2.163 Å, I 49, (5 2 1)

2.
Computed powder diffractogram of LiCaMgSiN3 for Cu Kα, from DFT lattice parameters and positions (PBE).
Lines closer than 0.1° are merged.

Structural model:
Cell: 5.5885 9.8951 6.0361 Å, 90.00 97.25 90.00°
Space group C2/m (No. 12)
Symmetry-distinct sites (fractional):
Li 0.1749 0.0000 0.4067 (multiplicity 4)
Ca 0.0000 0.1796 0.0000 (multiplicity 4)
Mg 0.0000 0.2663 0.5000 (multiplicity 4)
Si 0.1304 0.5000 0.1787 (multiplicity 4)
N 0.1916 0.5000 0.8901 (multiplicity 4)
N 0.2477 0.3547 0.3099 (multiplicity 8)

Main lines, by angle (5° ≤ 2θ ≤ 70°):
2θ 14.8, 5.988 Å, I 54, (0 0 1)
2θ 24.9, 3.575 Å, I 43, (1 1 1)
2θ 31.6, 2.835 Å, I 73, (1 3 0)
2θ 34.1, 2.628 Å, I 44, (1 3 -1)
2θ 35.0, 2.561 Å, I 65, (0 2 2)
2θ 35.9, 2.500 Å, I 100, (1 3 1)
2θ 37.2, 2.418 Å, I 54, (2 2 0)
2θ 41.5, 2.175 Å, I 48, (2 0 -2)

3.
Computed powder diffractogram of AgPbO2 for Cu Kα, from DFT lattice parameters and positions (PBE).
Lines closer than 0.1° are merged.

Structural model:
Cell: 6.4780 3.5717 6.8445 Å, 90.00 110.57 90.00°
Space group P2/m (No. 10)
Symmetry-distinct sites (fractional):
Ag 0.0000 0.0000 0.0000 (multiplicity 1)
Ag 0.5000 0.5000 0.0000 (multiplicity 1)
Pb 0.0000 0.5000 0.5000 (multiplicity 1)
Pb 0.5000 0.0000 0.5000 (multiplicity 1)
O 0.0808 0.0000 0.3245 (multiplicity 2)
O 0.3553 0.5000 0.6752 (multiplicity 2)

Main lines, by angle (5° ≤ 2θ ≤ 70°):
2θ 13.8, 6.408 Å, I 31, (0 0 1)
2θ 27.8, 3.204 Å, I 52, (0 0 2)
2θ 29.5, 3.033 Å, I 51, (2 0 0)
2θ 29.9, 2.990 Å, I 100, (1 1 -1)
2θ 32.8, 2.734 Å, I 31, (2 0 -2)
2θ 34.5, 2.599 Å, I 53, (1 1 1)
2θ 47.3, 1.923 Å, I 30, (1 1 -3)
2θ 56.7, 1.624 Å, I 32, (1 1 3)

4.
Computed powder diffractogram of Sm3Y5O12 for Cu Kα, from DFT lattice parameters and positions (PBE).
Lines closer than 0.1° are merged.

Structural model:
Cell: 10.8183 10.8190 10.8254 Å, 90.00 90.00 90.00°
Space group I2_12_12_1 (No. 24)
Symmetry-distinct sites (fractional):
Sm 0.0000 0.2500 0.2192 (multiplicity 4)
Sm 0.0010 0.5003 0.5018 (multiplicity 8)
Y 0.0000 0.2500 0.7184 (multiplicity 4)
Y 0.2174 0.0000 0.7500 (multiplicity 4)
Y 0.2199 0.5000 0.2500 (multiplicity 4)
Y 0.2500 0.2175 0.0000 (multiplicity 4)
Y 0.2500 0.2815 0.5000 (multiplicity 4)
O 0.1004 0.1432 0.8690 (multiplicity 8)
O 0.1027 0.3594 0.3718 (multiplicity 8)
O 0.1301 0.3989 0.6440 (multiplicity 8)
O 0.1321 0.0978 0.1404 (multiplicity 8)
O 0.1426 0.1308 0.6007 (multiplicity 8)
O 0.1450 0.3701 0.1000 (multiplicity 8)

Main lines, by angle (5° ≤ 2θ ≤ 70°):
2θ 16.4, 5.410 Å, I 6, (2 0 0)
2θ 20.1, 4.418 Å, I 10, (1 1 2)
2θ 28.6, 3.124 Å, I 100, (2 2 2)
2θ 33.1, 2.705 Å, I 30, (4 0 0)
2θ 42.6, 2.122 Å, I 7, (3 1 4)
2θ 47.5, 1.913 Å, I 43, (4 4 0)
2θ 56.4, 1.631 Å, I 33, (6 2 2)
2θ 59.2, 1.562 Å, I 6, (4 4 4)

5.
Computed powder diffractogram of Tl3Sn for Cu Kα, from DFT lattice parameters and positions (PBE).
Lines closer than 0.1° are merged.

Structural model:
Cell: 7.0446 7.0446 5.6733 Å, 90.00 90.00 120.00°
Space group P6_3/mmc (No. 194)
Symmetry-distinct sites (fractional):
Tl 0.1705 0.3409 0.2500 (multiplicity 6)
Sn 0.3333 0.6667 0.7500 (multiplicity 2)

Main lines, by angle (5° ≤ 2θ ≤ 70°):
2θ 29.3, 3.050 Å, I 23, (2 0 0)
2θ 31.5, 2.837 Å, I 26, (0 0 2)
2θ 33.4, 2.687 Å, I 100, (2 0 1)
2θ 43.6, 2.077 Å, I 16, (2 0 2)
2θ 51.9, 1.761 Å, I 19, (2 2 0)
2θ 57.3, 1.607 Å, I 22, (2 0 3)
2θ 62.0, 1.496 Å, I 23, (2 2 2)
2θ 63.1, 1.473 Å, I 16, (4 0 1)

6.
Computed powder diffractogram of K4Gd2C3O9F4 for Cu Kα, from DFT lattice parameters and positions (PBE).
Lines closer than 0.1° are merged.

Structural model:
Cell: 10.6496 9.1162 7.0611 Å, 90.00 101.35 90.00°
Space group C2 (No. 5)
Symmetry-distinct sites (fractional):
K 0.0000 0.0000 0.0000 (multiplicity 2)
K 0.0000 0.1360 0.5000 (multiplicity 2)
K 0.1875 0.6858 0.8799 (multiplicity 4)
Gd 0.1442 0.4969 0.3559 (multiplicity 4)
C 0.0000 0.3573 0.0000 (multiplicity 2)
C 0.1714 0.8226 0.3629 (multiplicity 4)
O 0.0000 0.4992 0.0000 (multiplicity 2)
O 0.0686 0.2875 0.1452 (multiplicity 4)
O 0.0986 0.7448 0.2302 (multiplicity 4)
O 0.1687 0.9634 0.3639 (multiplicity 4)
O 0.2495 0.7531 0.5002 (multiplicity 4)
F 0.0776 0.4867 0.6495 (multiplicity 4)
F 0.1940 0.0005 0.8056 (multiplicity 4)

Main lines, by angle (5° ≤ 2θ ≤ 70°):
2θ 12.9, 6.867 Å, I 89, (1 1 0)
2θ 19.2, 4.629 Å, I 67, (2 0 -1)
2θ 19.3, 4.588 Å, I 94, (1 1 1)
2θ 19.5, 4.558 Å, I 56, (0 2 0)
2θ 27.3, 3.266 Å, I 55, (1 1 -2)
2θ 27.4, 3.250 Å, I 100, (3 1 0)
2θ 34.0, 2.637 Å, I 75, (1 3 1)
2θ 39.3, 2.294 Å, I 48, (2 2 2)

7.
Computed powder diffractogram of CdGaH14O7F5 for Cu Kα, from DFT lattice parameters and positions (PBE).
Lines closer than 0.1° are merged.

Structural model:
Cell: 5.9973 9.4761 10.1305 Å, 107.84 102.01 95.56°
Space group P-1 (No. 2)
Symmetry-distinct sites (fractional):
Cd 0.0756 0.3204 0.2492 (multiplicity 2)
Ga 0.4436 0.1797 0.7514 (multiplicity 2)
H 0.1044 0.8538 0.5797 (multiplicity 2)
H 0.1174 0.8290 0.2679 (multiplicity 2)
H 0.1290 0.2615 0.5142 (multiplicity 2)
H 0.1692 0.3166 0.9761 (multiplicity 2)
H 0.1693 0.9915 0.8815 (multiplicity 2)
H 0.1750 0.6217 0.4710 (multiplicity 2)
H 0.2400 0.4902 0.0755 (multiplicity 2)
H 0.2565 0.9134 0.9953 (multiplicity 2)
H 0.2917 0.9130 0.4240 (multiplicity 2)
H 0.3030 0.4893 0.7507 (multiplicity 2)
H 0.3323 0.6136 0.9045 (multiplicity 2)
H 0.3965 0.5945 0.4119 (multiplicity 2)
H 0.4231 0.1237 0.2348 (multiplicity 2)
H 0.4709 0.7099 0.7469 (multiplicity 2)
O 0.0171 0.7519 0.5601 (multiplicity 2)
O 0.1336 0.9030 0.9087 (multiplicity 2)
O 0.1541 0.3912 0.0651 (multiplicity 2)
O 0.2597 0.5419 0.4272 (multiplicity 2)
O 0.2742 0.8348 0.3285 (multiplicity 2)
O 0.2846 0.5942 0.7993 (multiplicity 2)
O 0.4188 0.2309 0.2854 (multiplicity 2)
F 0.1607 0.1809 0.8180 (multiplicity 2)
F 0.2770 0.0133 0.5837 (multiplicity 2)
F 0.3584 0.3205 0.6521 (multiplicity 2)
F 0.3960 0.6520 0.0845 (multiplicity 2)
F 0.4588 0.9518 0.1463 (multiplicity 2)

Main lines, by angle (5° ≤ 2θ ≤ 70°):
2θ 18.5, 4.799 Å, I 16, (1 1 -1)
2θ 19.0, 4.662 Å, I 100, (-1 1 1)
2θ 19.6, 4.536 Å, I 38, (1 -1 1)
2θ 19.7, 4.502 Å, I 17, (1 1 0)
2θ 21.9, 4.067 Å, I 18, (1 1 -2)
2θ 24.9, 3.574 Å, I 25, (0 2 1)
2θ 32.1, 2.787 Å, I 16, (0 2 2)
2θ 34.0, 2.640 Å, I 17, (2 -2 0)